(1)
Theoretical powder diffraction line list
Compound: Pr8SeS6
Radiation: Cu Kα (weighted mean of Kα1 and Kα2)
Structure: DFT lattice parameters and positions (GGA-PBE)

Cell and atoms:
```
Pr8SeS6
1.0
10.5191 0.0000 0.0000
-5.2595 9.1098 0.0000
0.0000 0.0000 4.2074
Pr Se S
8 1 6
Cartesian
-1.3925 3.0463 1.0910 Pr
-1.9251 8.7926 1.0910 Pr
0.0000 6.0732 3.1414 Pr
1.9419 2.7291 3.1163 Pr
3.3177 6.3807 1.0910 Pr
5.2596 3.0366 1.0659 Pr
7.1847 0.3172 3.1163 Pr
6.6521 6.0635 3.1163 Pr
0.0000 0.0000 2.1037 Se
-2.0210 5.9355 1.0328 S
1.1297 4.3918 1.0328 S
4.3683 1.2175 3.1745 S
0.8912 7.8923 1.0328 S
4.1298 4.7180 3.1745 S
7.2805 3.1743 3.1745 S
```

Largest 10 diffraction maxima, in order of falling intensity, 10 to 90 degrees two-theta:
- 29.41°, intensity 100
- 27.14°, intensity 87
- 40.45°, intensity 45
- 28.89°, intensity 43
- 33.63°, intensity 40
- 48.65°, intensity 31
- 52.95°, intensity 28
- 50.81°, intensity 24
- 76.64°, intensity 18
- 43.00°, intensity 17



(2)
Theoretical powder diffraction line list
Compound: Pr7Se4S4
Radiation: Cu Kα (weighted mean of Kα1 and Kα2)
Structure: DFT lattice parameters and positions (GGA-PBE)

Cell and atoms:
```
Pr7Se4S4
1.0
-7.4272 7.4272 3.5336
7.4272 -7.4272 3.5336
7.4272 7.4272 -3.5336
Pr Se S
14 8 8
Cartesian
4.0747 0.0000 0.0000 Pr
10.7797 0.0000 0.0000 Pr
7.4272 1.7584 0.0000 Pr
0.0000 0.0000 1.7552 Pr
0.0000 4.0747 0.0000 Pr
4.4178 4.4178 0.0000 Pr
3.0095 -3.0095 3.5336 Pr
1.7584 7.4272 0.0000 Pr
5.6689 0.0000 3.5336 Pr
-3.0095 3.0095 3.5336 Pr
3.0095 3.0095 3.5336 Pr
0.0000 10.7797 0.0000 Pr
0.0000 0.0000 5.3121 Pr
0.0000 5.6689 3.5336 Pr
1.8644 1.8644 0.0000 Se
5.5629 -5.5629 3.5336 Se
7.4272 4.8229 0.0000 Se
4.8229 7.4272 0.0000 Se
2.6043 0.0000 3.5336 Se
0.0000 2.6043 3.5336 Se
-5.5629 5.5629 3.5336 Se
5.5629 5.5629 3.5336 Se
5.1750 -2.2522 1.7668 S
9.6794 -2.2522 1.7668 S
5.1750 2.2522 1.7668 S
9.6794 2.2522 1.7668 S
-2.2522 5.1750 1.7668 S
2.2522 5.1750 1.7668 S
-2.2522 9.6794 1.7668 S
2.2522 9.6794 1.7668 S
```

Largest 10 diffraction maxima, in order of falling intensity, 10 to 90 degrees two-theta:
- 32.70°, intensity 100
- 25.20°, intensity 35
- 49.37°, intensity 31
- 37.15°, intensity 29
- 31.69°, intensity 28
- 25.02°, intensity 18
- 25.44°, intensity 14
- 36.29°, intensity 13
- 51.74°, intensity 12
- 49.64°, intensity 12



(3)
Theoretical powder diffraction line list
Compound: Tb2Pr2Se2S3
Radiation: Cu Kα (weighted mean of Kα1 and Kα2)
Structure: DFT lattice parameters and positions (GGA-PBE)

Cell and atoms:
```
Tb2Pr2Se2S3
1.0
-2.7162 2.7162 7.5985
2.7162 -2.7162 7.5985
2.7162 2.7162 -7.5985
Tb Pr Se S
2 2 2 3
Cartesian
2.7162 0.0000 0.0000 Tb
0.0000 2.7162 0.0000 Tb
0.0000 0.0000 3.0390 Pr
0.0000 0.0000 12.1580 Pr
0.0000 0.0000 6.0579 Se
0.0000 0.0000 9.1391 Se
0.0000 0.0000 0.0000 S
2.7162 0.0000 3.7992 S
0.0000 2.7162 3.7992 S
```

Largest 10 diffraction maxima, in order of falling intensity, 10 to 90 degrees two-theta:
- 32.98°, intensity 100
- 25.99°, intensity 77
- 33.79°, intensity 58
- 47.94°, intensity 44
- 33.17°, intensity 41
- 47.33°, intensity 36
- 23.41°, intensity 23
- 54.79°, intensity 21
- 40.84°, intensity 20
- 53.83°, intensity 20